This entry pairs a crystal structure of CuHgSCl with its simulated powder X-ray diffraction pattern. Radiation: Cu Kα (λ = 1.5418 Å). Structure: a DFT-relaxed cell (PBE, Alexandria).
Intensities are scaled so that the largest is 100.

Principal peaks in the range 2θ = 5–70°, in order of rising 2θ:
2θ 9.52, d = 9.294 Å, intensity 30.0, hkl 0 0 1; 2θ 20.15, d = 4.407 Å, intensity 54.0, hkl 2 0 1; 2θ 25.44, d = 3.501 Å, intensity 100.0, hkl 1 1 1; 2θ 28.42, d = 3.140 Å, intensity 39.0, hkl 3 0 1; 2θ 28.82, d = 3.098 Å, intensity 36.8, hkl 0 0 3; 2θ 29.84, d = 2.994 Å, intensity 51.2, hkl 2 1 1; 2θ 34.30, d = 2.615 Å, intensity 97.4, hkl 2 1 2; 2θ 42.37, d = 2.133 Å, intensity 35.0, hkl 4 1 0; 2θ 44.40, d = 2.040 Å, intensity 30.0, hkl 0 2 0; 2θ 52.05, d = 1.757 Å, intensity 30.2, hkl 4 1 3

Crystal structure
```
16
Lattice="10.010 0.000 0.000 0.000 4.081 0.000 0.000 0.000 9.294" Properties=species:S:1:pos:R:3 pbc="T T T"
Cu 0.880 0.000 1.966
Cu 4.124 0.000 1.966
Cu 5.885 0.000 7.328
Cu 9.129 0.000 7.328
Hg 0.000 2.040 4.647
Hg 2.502 2.040 7.330
Hg 5.005 2.040 4.647
Hg 7.507 2.040 1.963
S 0.075 2.040 7.067
S 4.930 2.040 7.067
S 5.079 2.040 2.227
S 9.935 2.040 2.227
Cl 2.502 0.000 0.274
Cl 2.502 0.000 3.956
Cl 7.507 0.000 5.337
Cl 7.507 0.000 9.020
```